# Li3MgPCO7
Simulated X-ray powder pattern, a wavelength of 1.5418 Å. Input: DFT lattice parameters and positions (PBE).
Kinematic intensities with the Lorentz-polarization factor, no thermal factor.

Peak list (10 most intense, 2θ from 10° to 80°, in order of falling intensity)
2θ/deg	I (rel.)	h k l
27.52	100	0 2 0
17.55	52	1 0 0
25.25	48	0 1 2
34.80	30	1 2 1
21.13	26	0 0 2
24.40	25	1 1 -1
35.53	24	2 0 0
27.01	15	1 0 -2
56.82	15	0 4 0
39.93	14	1 1 3

Structural model:
```
26
Lattice="5.0572 0.0000 0.0000 0.0000 6.4820 0.0000 -0.3541 0.0000 8.4097" Properties=species:S:1:pos:R:3 pbc="T T T"
Li 0.2061 0.0000 0.0240
Li 1.8111 1.8931 6.9089
Li 2.0398 0.8238 4.0223
Li 2.6633 4.0648 4.3874
Li 2.8920 5.1341 1.5008
Li 4.4970 3.2410 8.3857
Mg 0.0094 5.0002 6.0742
Mg 4.6937 1.7593 2.3355
P 0.0928 4.9960 2.8212
P 4.6103 1.7550 5.5884
C 2.2961 1.8155 1.1121
C 2.4070 5.0565 7.2976
O 0.0019 0.5243 6.4272
O 0.1006 2.9738 6.4039
O 0.2626 1.6740 4.2098
O 1.0436 1.7333 0.7591
O 1.6244 5.1118 3.0215
O 1.4908 5.2006 8.2035
O 2.0796 4.9801 6.0473
O 2.6235 1.7391 2.3624
O 3.2123 1.9597 0.2062
O 3.0787 1.8708 5.3881
O 3.6595 4.9743 7.6506
O 4.4405 4.9150 4.1998
O 4.6025 6.2148 2.0058
O 4.7012 3.7653 1.9825
```